(1)
# La2SmPt
Computed XRD peak list, λ = 1.5418 Å (Cu Kα). Input: a structure optimized by DFT (GGA-PBE).
Kinematic intensities with the Lorentz-polarization factor, no thermal factor.

Cell and atoms:
Cell lengths 4.055, 4.055, 9.744 Å; angles 102.09, 102.09, 59.93 degrees
Positions (direct):
La: 0.000 0.000 0.000
La: 0.209 0.209 0.626
Sm: 0.438 0.438 0.313
Pt: 0.604 0.604 0.812

The 8 most intense peaks (5° ≤ 2θ ≤ 70°), by angle:
d_spacing	I (rel.)
9.455	33
3.408	24
3.148	18
2.985	100
2.653	26
2.206	23
2.027	41
1.677	18

=====

(2)
# LaSmPt
Computed XRD peak list, λ = 1.5418 Å (Cu Kα). Input: a structure optimized by DFT (GGA-PBE).
Kinematic intensities with the Lorentz-polarization factor, no thermal factor.

Cell and atoms:
Cell lengths 5.041, 5.041, 5.041 Å; angles 60.00, 60.00, 60.00 degrees
Positions (direct):
La: 0.000 0.000 0.000
Sm: 0.500 0.500 0.500
Pt: 0.250 0.250 0.250

The 8 most intense peaks (5° ≤ 2θ ≤ 70°), by angle:
d_spacing	I (rel.)
4.116	38
3.564	5
2.520	100
2.149	21
1.782	18
1.636	9
1.455	37
1.372	7